(1)
Starting from DFT lattice parameters and positions (PBE), the powder diffraction line list of LaNd2HgC was simulated for Cu Kα (λ = 1.5418 Å).
Intensities are scaled so that the largest is 100.

Unit cell a=7.2757 b=7.2757 c=7.2757 alpha=120.57 beta=120.57 gamma=89.01
Element x y z (fractional)
La (0.0000, 0.0000, 0.0000)
La (0.5000, 0.5000, 0.0000)
Nd (0.0584, 0.5584, 0.1165)
Nd (0.4418, 0.9418, 0.8835)
Nd (0.5584, 0.4418, 0.5000)
Nd (0.9418, 0.0584, 0.5000)
Hg (0.0000, 0.5000, 0.5000)
Hg (0.5000, 0.0000, 0.5000)
C (0.2505, 0.2505, 0.0000)
C (0.7505, 0.7505, 0.0000)

Principal peaks in the range 10 to 80 degrees two-theta, most intense first:
30.2 deg, I = 100; 35.2 deg, I = 29; 29.0 deg, I = 25; 34.6 deg, I = 24; 59.2 deg, I = 22; 50.2 deg, I = 21; 60.1 deg, I = 12; 38.1 deg, I = 12; 53.1 deg, I = 10; 79.7 deg, I = 7; 43.3 deg, I = 7; 68.5 deg, I = 7



(2)
Starting from DFT lattice parameters and positions (PBE), the powder diffraction line list of LaPm2HgC was simulated for Cu Kα (λ = 1.5418 Å).
Intensities are scaled so that the largest is 100.

Unit cell a=7.2456 b=7.2456 c=7.2456 alpha=120.90 beta=120.90 gamma=88.45
Element x y z (fractional)
La (0.2500, 0.2500, 0.0000)
La (0.7500, 0.7500, 0.0000)
Pm (0.1917, 0.6917, 0.8834)
Pm (0.3083, 0.1917, 0.5000)
Pm (0.6917, 0.8083, 0.5000)
Pm (0.8083, 0.3083, 0.1166)
Hg (0.2500, 0.7500, 0.5000)
Hg (0.7500, 0.2500, 0.5000)
C (0.0000, 0.0000, 0.0000)
C (0.5000, 0.5000, 0.0000)

Principal peaks in the range 10 to 80 degrees two-theta, most intense first:
30.4 deg, I = 100; 35.5 deg, I = 29; 29.2 deg, I = 25; 34.6 deg, I = 25; 50.4 deg, I = 21; 59.3 deg, I = 15; 38.3 deg, I = 12; 60.6 deg, I = 12; 53.6 deg, I = 10; 59.7 deg, I = 7; 43.7 deg, I = 7; 69.0 deg, I = 7



(3)
Starting from DFT lattice parameters and positions (PBE), the powder diffraction line list of LaPr2HgC was simulated for Cu Kα (λ = 1.5418 Å).
Intensities are scaled so that the largest is 100.

Unit cell a=7.3084 b=7.3084 c=7.3084 alpha=120.25 beta=120.25 gamma=89.57
Element x y z (fractional)
La (0.2500, 0.2500, 0.0000)
La (0.7500, 0.7500, 0.0000)
Pr (0.1921, 0.6921, 0.8841)
Pr (0.3079, 0.1921, 0.5000)
Pr (0.6921, 0.8079, 0.5000)
Pr (0.8079, 0.3079, 0.1159)
Hg (0.2500, 0.7500, 0.5000)
Hg (0.7500, 0.2500, 0.5000)
C (0.0000, 0.0000, 0.0000)
C (0.5000, 0.5000, 0.0000)

Principal peaks in the range 10 to 80 degrees two-theta, most intense first:
30.0 deg, I = 100; 34.9 deg, I = 30; 28.7 deg, I = 24; 34.6 deg, I = 24; 49.9 deg, I = 22; 59.2 deg, I = 15; 59.5 deg, I = 13; 38.0 deg, I = 11; 52.6 deg, I = 11; 53.4 deg, I = 9; 78.9 deg, I = 7; 56.5 deg, I = 7



(4)
Starting from DFT lattice parameters and positions (PBE), the powder diffraction line list of LaTb2HgC was simulated for Cu Kα (λ = 1.5418 Å).
Intensities are scaled so that the largest is 100.

Unit cell a=7.1615 b=7.1615 c=7.1615 alpha=121.94 beta=121.94 gamma=86.67
Element x y z (fractional)
La (0.2500, 0.2500, 0.0000)
La (0.7500, 0.7500, 0.0000)
Tb (0.1921, 0.6921, 0.8842)
Tb (0.3079, 0.1921, 0.5000)
Tb (0.6921, 0.8079, 0.5000)
Tb (0.8079, 0.3079, 0.1158)
Hg (0.2500, 0.7500, 0.5000)
Hg (0.7500, 0.2500, 0.5000)
C (0.0000, 0.0000, 0.0000)
C (0.5000, 0.5000, 0.0000)

Principal peaks in the range 10 to 80 degrees two-theta, most intense first:
30.9 deg, I = 100; 36.6 deg, I = 28; 30.0 deg, I = 26; 34.4 deg, I = 26; 51.1 deg, I = 21; 59.5 deg, I = 21; 38.9 deg, I = 13; 62.3 deg, I = 11; 55.2 deg, I = 11; 61.1 deg, I = 8; 44.8 deg, I = 7; 70.6 deg, I = 6